Computed PXRD pattern
Compound: SnB2O4
Radiation: Cu Ka
Structure: a PBE-relaxed structure
Peak positions follow from Bragg's law for the DFT cell and can differ from measured ones.

Peak list (8 most intense, 2θ from 10° to 90°, by intensity)
d (Å)	intensity
3.690	100
2.826	100
3.098	84
2.085	43
1.846	38
1.888	32
2.368	31
1.701	28

```
data_SnB2O4
_chemical_formula_sum 'Sn2 B4 O8'
_space_group_name_H-M_alt 'P 1'
_space_group_IT_number 1
_cell_length_a 4.8182
_cell_length_b 4.8182
_cell_length_c 8.7889
_cell_angle_alpha 90.00
_cell_angle_beta 90.00
_cell_angle_gamma 130.01
loop_
_space_group_symop_operation_xyz
'x,y,z'
loop_
_atom_site_label
_atom_site_fract_x
_atom_site_fract_y
_atom_site_fract_z
Sn1 0.0000 0.0000 0.2500
Sn2 0.0000 0.0000 0.7500
B1 0.2555 0.7447 0.0000
B2 0.2553 0.7445 0.5000
B3 0.7445 0.2553 0.0000
B4 0.7447 0.2555 0.5000
O1 0.0000 0.5000 0.3754
O2 0.0000 0.5000 0.6246
O3 0.1183 0.3681 0.0000
O4 0.3681 0.1183 0.5000
O5 0.5000 0.0000 0.1246
O6 0.5000 0.0000 0.8754
O7 0.6319 0.8817 0.5000
O8 0.8817 0.6319 0.0000
```